Diffraction record for Na2AgSb. The powder X-ray diffraction pattern is computed, not measured: it uses a GGA-PBE-relaxed structure and Cu Ka.
Neutral-atom scattering factors, no anomalous dispersion.

Structure:
a b c (Å): 6.1229 6.1229 5.8336
angles (deg): 90.00 90.00 80.55
Atoms (fractional coordinates):
Na 0.0286 0.3288 0.2500
Na 0.3288 0.0286 0.7500
Na 0.6712 0.9714 0.2500
Na 0.9714 0.6712 0.7500
Ag 0.5000 0.5000 0.0000
Ag 0.5000 0.5000 0.5000
Sb 0.2078 0.7922 0.2500
Sb 0.7922 0.2078 0.7500

Top 12 peaks for 2θ from 10° to 90°, by intensity:
19.00°, I = 100.0; 21.17°, I = 74.4; 34.14°, I = 55.1; 34.56°, I = 52.3; 43.12°, I = 49.6; 35.34°, I = 48.9; 38.33°, I = 43.6; 14.67°, I = 40.5; 55.49°, I = 26.8; 38.54°, I = 19.8; 33.41°, I = 19.4; 30.85°, I = 17.6